[1]
Starting from DFT lattice parameters and positions (GGA-PBE), the X-ray diffraction stick pattern of DyTmH was computed for Cu Kα X-rays.

Peak list (10 most intense, 10 to 80 degrees two-theta, low angle first)
two_theta	I_rel
29.91	51
31.38	40
32.91	100
33.00	20
37.43	19
51.07	21
51.18	10
56.79	17
61.13	18
61.24	12

Cell and atoms:
Lattice parameters (Å, degrees): 6.199 7.140 11.404 90.23 90.01 90.08
Sites, in units of the cell vectors:
Dy 0.000 0.000 0.000
Dy 0.007 0.996 0.511
Dy 0.174 0.746 0.250
Dy 0.344 0.995 0.753
Dy 0.505 0.749 0.498
Dy 0.515 0.744 0.004
Dy 0.675 0.995 0.250
Dy 0.838 0.246 0.752
Tm 0.011 0.499 0.496
Tm 0.012 0.495 0.991
Tm 0.178 0.248 0.247
Tm 0.338 0.495 0.749
Tm 0.499 0.248 0.499
Tm 0.507 0.248 0.008
Tm 0.679 0.497 0.246
Tm 0.836 0.744 0.751
H 0.010 0.999 0.198
H 0.011 0.491 0.304
H 0.177 0.250 0.876
H 0.344 0.001 0.564
H 0.350 0.495 0.128
H 0.504 0.247 0.692
H 0.665 0.000 0.880
H 0.839 0.753 0.378

***

[2]
Starting from DFT lattice parameters and positions (GGA-PBE), the X-ray diffraction stick pattern of Zn3N2 was computed for Cu Kα X-rays.

Peak list (10 most intense, 10 to 80 degrees two-theta, low angle first)
two_theta	I_rel
22.92	5
33.59	13
37.75	22
38.68	100
51.42	18
52.80	4
60.06	19
68.78	17
73.16	14
73.76	11

Cell and atoms:
Lattice parameters (Å, degrees): 5.675 5.675 5.675 56.09 56.09 56.09
Sites, in units of the cell vectors:
Zn 0.056 0.750 0.444
Zn 0.250 0.556 0.944
Zn 0.444 0.056 0.750
Zn 0.556 0.944 0.250
Zn 0.750 0.444 0.056
Zn 0.944 0.250 0.556
N 0.142 0.142 0.142
N 0.358 0.358 0.358
N 0.642 0.642 0.642
N 0.858 0.858 0.858

***

[3]
Starting from DFT lattice parameters and positions (GGA-PBE), the X-ray diffraction stick pattern of CrCdCu3Se4 was computed for Cu Kα X-rays.

Peak list (10 most intense, 10 to 80 degrees two-theta, low angle first)
two_theta	I_rel
21.49	15
26.40	98
37.68	8
43.79	100
49.28	3
51.86	43
59.12	4
63.66	15
68.02	3
70.16	16

Cell and atoms:
Lattice parameters (Å, degrees): 5.847 5.847 5.847 90.00 90.00 90.00
Sites, in units of the cell vectors:
Cr 0.000 0.000 0.000
Cd 0.500 0.500 0.500
Cu 0.000 0.000 0.500
Cu 0.000 0.500 0.000
Cu 0.500 0.000 0.000
Se 0.237 0.237 0.237
Se 0.237 0.763 0.763
Se 0.763 0.237 0.763
Se 0.763 0.763 0.237

***

[4]
Starting from DFT lattice parameters and positions (GGA-PBE), the X-ray diffraction stick pattern of Cs6TlPb2 was computed for Cu Kα X-rays.

Peak list (10 most intense, 10 to 80 degrees two-theta, low angle first)
two_theta	I_rel
14.67	20
23.94	35
25.21	100
27.94	22
35.04	13
38.50	15
43.66	15
44.42	22
46.14	11
51.76	14

Cell and atoms:
Lattice parameters (Å, degrees): 13.131 13.131 13.131 31.21 31.21 31.21
Sites, in units of the cell vectors:
Cs 0.076 0.076 0.076
Cs 0.197 0.197 0.197
Cs 0.313 0.313 0.313
Cs 0.687 0.687 0.687
Cs 0.803 0.803 0.803
Cs 0.924 0.924 0.924
Tl 0.500 0.500 0.500
Pb 0.421 0.421 0.421
Pb 0.579 0.579 0.579

***

[5]
Starting from DFT lattice parameters and positions (GGA-PBE), the X-ray diffraction stick pattern of AcRhAu was computed for Cu Kα X-rays.

Peak list (10 most intense, 10 to 80 degrees two-theta, low angle first)
two_theta	I_rel
31.07	100
31.71	11
31.98	48
37.46	31
39.74	47
44.60	19
50.06	28
59.62	16
61.25	27
63.64	13

Cell and atoms:
Lattice parameters (Å, degrees): 4.802 8.126 7.721 90.00 90.00 90.00
Sites, in units of the cell vectors:
Ac 0.000 0.000 0.000
Ac 0.000 0.500 0.000
Ac 0.500 0.000 0.500
Ac 0.500 0.500 0.500
Rh 0.000 0.250 0.299
Rh 0.000 0.750 0.701
Rh 0.500 0.250 0.201
Rh 0.500 0.750 0.799
Au 0.000 0.250 0.652
Au 0.000 0.750 0.348
Au 0.500 0.250 0.848
Au 0.500 0.750 0.152

***

[6]
Starting from DFT lattice parameters and positions (GGA-PBE), the X-ray diffraction stick pattern of Nd3Ho2Er7 was computed for Cu Kα X-rays.

Peak list (10 most intense, 10 to 80 degrees two-theta, low angle first)
two_theta	I_rel
29.85	29
30.91	100
31.44	58
33.96	36
34.91	41
38.10	15
50.54	20
52.01	13
52.98	23
61.74	28

Cell and atoms:
Lattice parameters (Å, degrees): 6.313 3.517 17.456 90.00 96.28 90.00
Sites, in units of the cell vectors:
Nd 0.000 0.000 0.000
Nd 0.047 0.500 0.659
Nd 0.953 0.500 0.341
Ho 0.444 0.000 0.326
Ho 0.556 0.000 0.674
Er 0.229 0.500 0.166
Er 0.247 0.000 0.500
Er 0.277 0.000 0.834
Er 0.500 0.500 0.000
Er 0.723 0.000 0.166
Er 0.753 0.000 0.500
Er 0.771 0.500 0.834

***

[7]
Starting from DFT lattice parameters and positions (GGA-PBE), the X-ray diffraction stick pattern of Ho4Tm3Co4 was computed for Cu Kα X-rays.

Peak list (10 most intense, 10 to 80 degrees two-theta, low angle first)
two_theta	I_rel
30.68	68
33.07	100
35.44	68
35.91	74
38.68	20
40.72	27
41.84	15
51.57	23
54.17	28
64.16	49

Cell and atoms:
Lattice parameters (Å, degrees): 9.041 9.041 9.041 157.39 122.27 62.80
Sites, in units of the cell vectors:
Ho 0.020 0.835 0.186
Ho 0.351 0.165 0.186
Ho 0.649 0.835 0.814
Ho 0.980 0.165 0.814
Tm 0.000 0.500 0.500
Tm 0.397 0.397 0.000
Tm 0.603 0.603 0.000
Co 0.253 0.753 0.500
Co 0.287 0.000 0.287
Co 0.713 0.000 0.713
Co 0.747 0.247 0.500

***

[8]
Starting from DFT lattice parameters and positions (GGA-PBE), the X-ray diffraction stick pattern of Ce2InF8 was computed for Cu Kα X-rays.

Peak list (10 most intense, 10 to 80 degrees two-theta, low angle first)
two_theta	I_rel
19.96	39
23.44	57
24.87	78
25.60	64
26.24	39
26.98	100
38.00	51
41.19	25
45.12	49
50.96	38

Cell and atoms:
Lattice parameters (Å, degrees): 6.655 6.655 4.490 94.28 94.28 114.22
Sites, in units of the cell vectors:
Ce 0.175 0.825 0.000
Ce 0.825 0.175 0.000
In 0.492 0.492 0.568
F 0.100 0.100 0.260
F 0.163 0.455 0.929
F 0.225 0.769 0.497
F 0.455 0.163 0.929
F 0.540 0.836 0.051
F 0.769 0.225 0.497
F 0.836 0.540 0.051
F 0.903 0.903 0.741

***

[9]
Starting from DFT lattice parameters and positions (GGA-PBE), the X-ray diffraction stick pattern of Sm4PuS5 was computed for Cu Kα X-rays.

Peak list (10 most intense, 10 to 80 degrees two-theta, low angle first)
two_theta	I_rel
14.01	3
18.57	3
27.32	86
31.65	100
45.37	73
53.77	42
56.37	25
66.10	12
72.93	17
75.14	33

Cell and atoms:
Lattice parameters (Å, degrees): 6.925 6.925 6.925 99.59 99.59 131.82
Sites, in units of the cell vectors:
Sm 0.097 0.299 0.396
Sm 0.299 0.903 0.202
Sm 0.701 0.097 0.798
Sm 0.903 0.701 0.604
Pu 0.500 0.500 0.000
S 0.000 0.000 0.000
S 0.203 0.599 0.802
S 0.401 0.203 0.604
S 0.599 0.797 0.396
S 0.797 0.401 0.198

***

[10]
Starting from DFT lattice parameters and positions (GGA-PBE), the X-ray diffraction stick pattern of KAg2Se6S2 was computed for Cu Kα X-rays.

Peak list (10 most intense, 10 to 80 degrees two-theta, low angle first)
two_theta	I_rel
12.10	76
14.63	80
15.48	54
16.36	38
24.35	39
25.87	100
29.30	65
35.13	82
36.61	29
50.39	30

Cell and atoms:
Lattice parameters (Å, degrees): 6.849 7.681 8.153 68.42 68.22 66.40
Sites, in units of the cell vectors:
K 0.000 0.000 0.000
Ag 0.008 0.694 0.608
Ag 0.992 0.306 0.392
Se 0.154 0.465 0.048
Se 0.209 0.935 0.342
Se 0.296 0.371 0.507
Se 0.704 0.629 0.493
Se 0.791 0.065 0.658
Se 0.846 0.535 0.952
S 0.424 0.188 0.746
S 0.576 0.812 0.254

***

[11]
Starting from DFT lattice parameters and positions (GGA-PBE), the X-ray diffraction stick pattern of MgIn4Sn4 was computed for Cu Kα X-rays.

Peak list (10 most intense, 10 to 80 degrees two-theta, low angle first)
two_theta	I_rel
20.74	3
27.29	3
32.62	100
37.73	34
38.08	17
54.43	11
54.69	23
64.92	27
65.39	13
68.35	12

Cell and atoms:
Lattice parameters (Å, degrees): 7.532 7.532 7.532 95.65 95.65 143.43
Sites, in units of the cell vectors:
Mg 0.000 0.000 0.000
In 0.000 0.328 0.328
In 0.000 0.672 0.672
In 0.328 0.000 0.328
In 0.672 0.000 0.672
Sn 0.338 0.338 0.677
Sn 0.338 0.662 0.000
Sn 0.662 0.338 0.000
Sn 0.662 0.662 0.323